# 1
Starting from a PBE-relaxed structure, the X-ray powder pattern of Al17N3O21 was simulated for Cu Kα.
Lines closer than 0.1° are merged.

Principal peaks in the range 2θ from 10° to 90°, low angle first:
d = 4.580 Å, 2θ 19.38, intensity 23, hkl 0 1 2
d = 2.821 Å, 2θ 31.72, intensity 28, hkl 1 2 3
d = 2.422 Å, 2θ 37.11, intensity 100, hkl 2 -1 2
d = 2.410 Å, 2θ 37.32, intensity 27, hkl -1 3 1
d = 2.401 Å, 2θ 37.46, intensity 43, hkl 0 3 3
d = 2.010 Å, 2θ 45.11, intensity 33, hkl 2 0 -2
d = 2.000 Å, 2θ 45.34, intensity 65, hkl 2 0 4
d = 1.428 Å, 2θ 65.37, intensity 50, hkl 4 0 2
d = 1.417 Å, 2θ 65.93, intensity 25, hkl 2 -4 2
d = 1.408 Å, 2θ 66.39, intensity 46, hkl 0 0 6

```
data_Al17N3O21
_symmetry_space_group_name_H-M 'P 1'
_symmetry_Int_Tables_number 1
_cell_length_a 5.712
_cell_length_b 7.998
_cell_length_c 9.733
_cell_angle_alpha 66.26
_cell_angle_beta 72.97
_cell_angle_gamma 89.56
loop_
_symmetry_equiv_pos_as_xyz
'x,y,z'
loop_
_atom_site_label
_atom_site_type_symbol
_atom_site_fract_x
_atom_site_fract_y
_atom_site_fract_z
Al1 Al 0.000 0.000 0.000
Al2 Al 0.003 0.493 0.499
Al3 Al 0.099 0.964 0.332
Al4 Al 0.175 0.670 0.154
Al5 Al 0.178 0.667 0.660
Al6 Al 0.257 0.371 0.987
Al7 Al 0.346 0.841 0.824
Al8 Al 0.356 0.327 0.318
Al9 Al 0.439 0.296 0.662
Al10 Al 0.511 0.006 0.003
Al11 Al 0.528 0.001 0.485
Al12 Al 0.594 0.702 0.322
Al13 Al 0.677 0.667 0.661
Al14 Al 0.770 0.636 0.996
Al15 Al 0.826 0.332 0.837
Al16 Al 0.844 0.329 0.317
Al17 Al 0.917 0.038 0.659
N1 N 0.037 0.765 0.990
N2 N 0.656 0.905 0.660
N3 N 0.699 0.429 0.660
O1 O 0.014 0.246 0.976
O2 O 0.017 0.738 0.501
O3 O 0.022 0.265 0.480
O4 O 0.174 0.429 0.654
O5 O 0.175 0.415 0.168
O6 O 0.185 0.918 0.156
O7 O 0.188 0.909 0.658
O8 O 0.320 0.574 0.326
O9 O 0.343 0.075 0.837
O10 O 0.343 0.594 0.816
O11 O 0.344 0.086 0.344
O12 O 0.495 0.759 0.997
O13 O 0.502 0.751 0.496
O14 O 0.513 0.245 0.987
O15 O 0.518 0.253 0.480
O16 O 0.670 0.428 0.175
O17 O 0.680 0.910 0.149
O18 O 0.837 0.087 0.837
O19 O 0.844 0.091 0.335
O20 O 0.855 0.581 0.821
O21 O 0.865 0.575 0.327
```

=====

# 2
Starting from a PBE-relaxed structure, the X-ray powder pattern of Fe5Co was simulated for Cu Kα.
Lines closer than 0.1° are merged.

Principal peaks in the range 2θ from 10° to 90°, low angle first:
d = 2.016 Å, 2θ 44.96, intensity 100, hkl 1 0 3
d = 2.006 Å, 2θ 45.21, intensity 49, hkl 1 1 0
d = 1.433 Å, 2θ 65.08, intensity 7, hkl 0 0 6
d = 1.418 Å, 2θ 65.86, intensity 14, hkl 2 0 0
d = 1.166 Å, 2θ 82.78, intensity 14, hkl 1 1 6
d = 1.160 Å, 2θ 83.31, intensity 28, hkl 2 1 3

```
data_Fe5Co
_symmetry_space_group_name_H-M 'P 4/m m m'
_symmetry_Int_Tables_number 123
_symmetry_space_group_name_Hall '-P 4 2'
_cell_length_a 2.836
_cell_length_b 2.836
_cell_length_c 8.599
_cell_angle_alpha 90.00
_cell_angle_beta 90.00
_cell_angle_gamma 90.00
loop_
_atom_site_label
_atom_site_type_symbol
_atom_site_fract_x
_atom_site_fract_y
_atom_site_fract_z
Fe1 Fe 0.000 0.000 0.000
Fe2 Fe 0.000 0.000 0.335
Fe3 Fe 0.500 0.500 0.166
Co1 Co 0.500 0.500 0.500
```